Entry 1:
PrH3Pd6: simulated powder diffraction line list (Cu Kα (weighted mean of Kα1 and Kα2)), based on a GGA-PBE-relaxed structure.
Peak positions follow from Bragg's law for the DFT cell and can differ from measured ones.

Crystal structure
a b c (Å): 5.508 5.657 5.661
angles (deg): 81.32 61.44 61.99
Space group P1 (No. 1)
Unique sites:
Pr (0.000, 0.000, 0.000) x1
H (0.337, 0.205, 0.610) x1
H (0.509, 0.679, 0.321) x1
H (0.684, 0.287, 0.735) x1
Pd (0.248, 0.526, 0.486) x1
Pd (0.288, 0.415, 0.998) x1
Pd (0.291, 0.035, 0.386) x1
Pd (0.710, 0.998, 0.594) x1
Pd (0.714, 0.608, 0.966) x1
Pd (0.757, 0.513, 0.480) x1

Most intense lines, 2θ from 15° to 90°, by intensity:
- 2θ = 36.13°, rel. 100, (0 2 0)
- 2θ = 36.30°, rel. 93, (0 0 2)
- 2θ = 40.28°, rel. 51, (1 2 -1)
- 2θ = 33.86°, rel. 49, (1 1 2)
- 2θ = 40.07°, rel. 49, (1 -1 2)
- 2θ = 32.52°, rel. 42, (2 1 1)
- 2θ = 37.56°, rel. 36, (2 1 2)
- 2θ = 37.18°, rel. 35, (2 1 0)
- 2θ = 36.99°, rel. 35, (2 0 1)
- 2θ = 37.67°, rel. 34, (2 2 1)
- 2θ = 42.01°, rel. 33, (2 0 0)
- 2θ = 32.26°, rel. 33, (1 0 2)

Entry 2:
AcPmDy2As4: simulated powder diffraction line list (Cu Kα (weighted mean of Kα1 and Kα2)), based on a GGA-PBE-relaxed structure.
Peak positions follow from Bragg's law for the DFT cell and can differ from measured ones.

Crystal structure
a b c (Å): 7.377 4.262 7.384
angles (deg): 90.00 109.42 90.00
Space group P2/m (No. 10)
Unique sites:
Ac (0.000, 0.000, 0.000) x1
Pm (0.000, 0.500, 0.500) x1
Dy (0.500, 0.000, 0.500) x1
Dy (0.500, 0.500, 0.000) x1
As (0.262, 0.000, 0.747) x2
As (0.268, 0.500, 0.263) x2

Most intense lines, 2θ from 15° to 90°, by intensity:
- 2θ = 29.64°, rel. 100, (1 1 1)
- 2θ = 42.42°, rel. 75, (0 2 0)
- 2θ = 69.78°, rel. 34, (1 3 1)
- 2θ = 25.60°, rel. 28, (2 0 0)
- 2θ = 52.60°, rel. 27, (2 2 -2)
- 2θ = 77.59°, rel. 23, (1 3 -3)
- 2θ = 50.20°, rel. 14, (3 1 1)
- 2θ = 61.54°, rel. 12, (2 2 2)
- 2θ = 67.77°, rel. 6, (4 0 2)
- 2θ = 83.29°, rel. 4, (6 0 0)
- 2θ = 77.66°, rel. 2, (6 0 -2)
- 2θ = 32.37°, rel. 2, (2 0 1)

Entry 3:
Er5Re2C7: simulated powder diffraction line list (Cu Kα (weighted mean of Kα1 and Kα2)), based on a GGA-PBE-relaxed structure.
Peak positions follow from Bragg's law for the DFT cell and can differ from measured ones.

Crystal structure
a b c (Å): 7.972 14.475 3.389
angles (deg): 90.00 90.00 90.00
Space group Cmmm (No. 65)
Unique sites:
Er (0.000, 0.000, 0.000) x2
Er (0.206, 0.371, 0.500) x8
Re (0.000, 0.215, 0.000) x4
C (0.000, 0.125, 0.500) x4
C (0.000, 0.500, 0.000) x2
C (0.170, 0.500, 0.000) x4
C (0.250, 0.250, 0.000) x4

Most intense lines, 2θ from 15° to 90°, by intensity:
- 2θ = 36.32°, rel. 100, (0 4 1)
- 2θ = 34.74°, rel. 98, (2 0 1)
- 2θ = 33.44°, rel. 82, (2 4 0)
- 2θ = 54.11°, rel. 52, (0 0 2)
- 2θ = 34.29°, rel. 41, (3 1 0)
- 2θ = 32.91°, rel. 32, (1 5 0)
- 2θ = 29.29°, rel. 30, (1 1 1)
- 2θ = 65.13°, rel. 25, (2 4 2)
- 2θ = 59.57°, rel. 20, (4 4 1)
- 2θ = 45.51°, rel. 16, (4 0 0)
- 2θ = 42.61°, rel. 14, (1 5 1)
- 2θ = 64.96°, rel. 13, (5 1 1)

Please write out number 2 again, unchanged.
AcPmDy2As4: simulated powder diffraction line list (Cu Kα (weighted mean of Kα1 and Kα2)), based on a GGA-PBE-relaxed structure.
Peak positions follow from Bragg's law for the DFT cell and can differ from measured ones.

Crystal structure
a b c (Å): 7.377 4.262 7.384
angles (deg): 90.00 109.42 90.00
Space group P2/m (No. 10)
Unique sites:
Ac (0.000, 0.000, 0.000) x1
Pm (0.000, 0.500, 0.500) x1
Dy (0.500, 0.000, 0.500) x1
Dy (0.500, 0.500, 0.000) x1
As (0.262, 0.000, 0.747) x2
As (0.268, 0.500, 0.263) x2

Most intense lines, 2θ from 15° to 90°, by intensity:
- 2θ = 29.64°, rel. 100, (1 1 1)
- 2θ = 42.42°, rel. 75, (0 2 0)
- 2θ = 69.78°, rel. 34, (1 3 1)
- 2θ = 25.60°, rel. 28, (2 0 0)
- 2θ = 52.60°, rel. 27, (2 2 -2)
- 2θ = 77.59°, rel. 23, (1 3 -3)
- 2θ = 50.20°, rel. 14, (3 1 1)
- 2θ = 61.54°, rel. 12, (2 2 2)
- 2θ = 67.77°, rel. 6, (4 0 2)
- 2θ = 83.29°, rel. 4, (6 0 0)
- 2θ = 77.66°, rel. 2, (6 0 -2)
- 2θ = 32.37°, rel. 2, (2 0 1)